No. 1
This entry pairs a crystal structure of Ca3Ge2As4 with its calculated powder X-ray diffraction pattern. Radiation: Cu Ka. Structure: the PBE geometry in the Materials Project.
Lines closer than 0.1° are merged.

Top 6 peaks for 2θ from 5° to 70°, low angle first:
d 6.388, intensity 17
d 3.629, intensity 14
d 3.044, intensity 100
d 2.154, intensity 20
d 2.148, intensity 20
d 2.060, intensity 19

Structural model:
Lattice parameters (Å, degrees): 7.353 18.102 7.328 90.00 111.72 90.00
Space group P2_1/c (No. 14)
Symmetry-distinct sites (fractional):
Ca1 0.217 0.183 0.013 [4 per cell]
Ca2 0.256 0.057 0.512 [4 per cell]
Ca3 0.264 0.563 0.502 [4 per cell]
Ge1 0.209 0.627 0.031 [4 per cell]
Ge2 0.320 0.741 0.920 [4 per cell]
As1 0.001 0.559 0.742 [4 per cell]
As2 0.027 0.686 0.222 [4 per cell]
As3 0.481 0.195 0.767 [4 per cell]
As4 0.492 0.066 0.251 [4 per cell]

No. 2
This entry pairs a crystal structure of KCaAsH16O12 with its calculated powder X-ray diffraction pattern. Radiation: Cu Ka. Structure: the PBE geometry in the Materials Project.
Lines closer than 0.1° are merged.

Top 6 peaks for 2θ from 5° to 70°, low angle first:
d 7.439, intensity 25
d 7.299, intensity 100
d 5.279, intensity 56
d 3.690, intensity 21
d 3.331, intensity 29
d 2.643, intensity 19

Structural model:
Lattice parameters (Å, degrees): 7.497 8.638 14.597 90.00 90.00 90.00
Space group Amm2 (No. 38)
Symmetry-distinct sites (fractional):
K1 0.000 0.000 0.000 [2 per cell]
Ca1 0.000 0.000 0.705 [2 per cell]
As1 0.500 0.000 0.173 [2 per cell]
H1 0.145 0.131 0.194 [8 per cell]
H2 0.369 0.090 0.661 [8 per cell]
H3 0.397 0.227 0.518 [8 per cell]
H4 0.450 0.198 0.855 [8 per cell]
O1 0.000 0.087 0.841 [4 per cell]
O2 0.100 0.205 0.146 [8 per cell]
O3 0.306 0.000 0.684 [4 per cell]
O4 0.308 0.000 0.240 [4 per cell]
O5 0.500 0.207 0.558 [4 per cell]

No. 3
This entry pairs a crystal structure of KCaAsH16O12 with its calculated powder X-ray diffraction pattern. Radiation: Cu Ka. Structure: the PBE geometry in the Materials Project.
Lines closer than 0.1° are merged.

Top 6 peaks for 2θ from 5° to 70°, low angle first:
d 4.651, intensity 100
d 4.565, intensity 38
d 3.062, intensity 42
d 2.816, intensity 32
d 2.486, intensity 43
d 2.176, intensity 30

Structural model:
Lattice parameters (Å, degrees): 7.141 7.157 11.872 90.00 90.00 90.00
Space group Amm2 (No. 38)
Symmetry-distinct sites (fractional):
K1 0.000 0.000 0.000 [2 per cell]
Ca1 0.000 0.000 0.310 [2 per cell]
As1 0.500 0.000 0.684 [2 per cell]
H1 0.111 0.143 0.670 [8 per cell]
H2 0.275 0.150 0.481 [8 per cell]
H3 0.326 0.247 0.864 [8 per cell]
H4 0.356 0.110 0.201 [8 per cell]
O1 0.000 0.217 0.693 [4 per cell]
O2 0.220 0.211 0.413 [8 per cell]
O3 0.277 0.000 0.183 [4 per cell]
O4 0.298 0.000 0.604 [4 per cell]
O5 0.500 0.202 0.764 [4 per cell]

No. 4
This entry pairs a crystal structure of Ca4MgZnAs4H8O20 with its calculated powder X-ray diffraction pattern. Radiation: Cu Ka. Structure: the PBE geometry in the Materials Project.
Lines closer than 0.1° are merged.

Top 6 peaks for 2θ from 5° to 70°, low angle first:
d 5.144, intensity 57
d 3.622, intensity 81
d 3.265, intensity 54
d 3.092, intensity 100
d 2.807, intensity 91
d 2.791, intensity 73

Structural model:
Lattice parameters (Å, degrees): 5.659 5.964 13.199 87.89 81.70 70.48
Space group P-1 (No. 2)
Symmetry-distinct sites (fractional):
Ca1 0.231 0.412 0.119 [2 per cell]
Ca2 0.268 0.088 0.381 [2 per cell]
Mg1 0.000 0.000 0.000 [1 per cell]
Zn1 0.500 0.500 0.500 [1 per cell]
As1 0.051 0.283 0.623 [2 per cell]
As2 0.450 0.215 0.877 [2 per cell]
H1 0.041 0.925 0.802 [2 per cell]
H2 0.227 0.687 0.847 [2 per cell]
H3 0.271 0.812 0.653 [2 per cell]
H4 0.458 0.573 0.698 [2 per cell]
O1 0.032 0.035 0.692 [2 per cell]
O2 0.058 0.464 0.304 [2 per cell]
O3 0.060 0.820 0.864 [2 per cell]
O4 0.120 0.722 0.476 [2 per cell]
O5 0.141 0.277 0.936 [2 per cell]
O6 0.362 0.218 0.566 [2 per cell]
O7 0.373 0.781 0.026 [2 per cell]
O8 0.442 0.037 0.196 [2 per cell]
O9 0.442 0.681 0.636 [2 per cell]
O10 0.468 0.464 0.809 [2 per cell]

No. 5
This entry pairs a crystal structure of CaAs2H4O8 with its calculated powder X-ray diffraction pattern. Radiation: Cu Ka. Structure: the PBE geometry in the Materials Project.
Lines closer than 0.1° are merged.

Top 6 peaks for 2θ from 5° to 70°, low angle first:
d 4.557, intensity 55
d 4.102, intensity 48
d 3.844, intensity 98
d 3.760, intensity 82
d 3.629, intensity 100
d 3.204, intensity 73

Structural model:
Lattice parameters (Å, degrees): 5.775 7.945 8.756 111.40 109.15 92.84
Space group P-1 (No. 2)
Symmetry-distinct sites (fractional):
Ca1 0.191 0.315 0.418 [2 per cell]
As1 0.172 0.730 0.316 [2 per cell]
As2 0.478 0.741 0.843 [2 per cell]
H1 0.000 0.500 0.000 [1 per cell]
H2 0.149 0.128 0.772 [2 per cell]
H3 0.230 0.983 0.002 [2 per cell]
H4 0.415 0.679 0.068 [2 per cell]
H5 0.500 0.000 0.500 [1 per cell]
O1 0.021 0.920 0.322 [2 per cell]
O2 0.029 0.592 0.380 [2 per cell]
O3 0.171 0.626 0.106 [2 per cell]
O4 0.207 0.821 0.815 [2 per cell]
O5 0.270 0.095 0.118 [2 per cell]
O6 0.431 0.287 0.955 [2 per cell]
O7 0.473 0.835 0.459 [2 per cell]
O8 0.499 0.564 0.671 [2 per cell]

No. 6
This entry pairs a crystal structure of Ca5As3HO13 with its calculated powder X-ray diffraction pattern. Radiation: Cu Ka. Structure: the PBE geometry in the Materials Project.
Lines closer than 0.1° are merged.

Top 6 peaks for 2θ from 5° to 70°, low angle first:
d 4.049, intensity 52
d 3.504, intensity 42
d 2.947, intensity 99
d 2.863, intensity 100
d 2.716, intensity 29
d 1.897, intensity 46

Structural model:
Lattice parameters (Å, degrees): 9.9224 9.9224 7.0085 90.00 90.00 120.00
Space group P6_3 (No. 173)
Symmetry-distinct sites (fractional):
Ca1 0.0083 0.7581 0.0000 [6 per cell]
Ca2 0.3333 0.6667 0.2511 [2 per cell]
Ca3 0.3333 0.6667 0.7479 [2 per cell]
As1 0.0271 0.3982 0.0005 [6 per cell]
H1 0.0000 0.0000 0.1744 [2 per cell]
O1 0.0000 0.0000 0.0350 [2 per cell]
O2 0.0895 0.3364 0.8078 [6 per cell]
O3 0.0917 0.3413 0.1954 [6 per cell]
O4 0.1315 0.5999 0.9984 [6 per cell]
O5 0.1696 0.6741 0.5004 [6 per cell]